Diffraction record for HoZr2NpN4. The PXRD pattern is theoretical, not measured: it uses a crystal structure in Alexandria, relaxed with GGA-PBE and a wavelength of 1.5418 Å.
Kinematic intensities with the Lorentz-polarization factor, no thermal factor.

Principal peaks in the range 2θ from 10° to 90°, by angle:
| Position (°2θ) | Rel. int. |
| --- | --- |
| 21.0 | 25 |
| 32.8 | 100 |
| 34.2 | 8 |
| 38.0 | 73 |
| 43.8 | 8 |
| 54.9 | 49 |
| 65.4 | 44 |
| 68.7 | 16 |

Structure:
abc: 5.797 5.797 5.797
angles: 131.79 131.79 70.55
Fractional positions:
Ho 0.000 0.000 0.000
Zr 0.500 0.500 0.000
Zr 0.750 0.250 0.500
Np 0.250 0.750 0.500
N 0.001 0.501 0.500
N 0.254 0.254 0.000
N 0.499 0.999 0.500
N 0.746 0.746 0.000

=====

Diffraction record for LiDyB14. The PXRD pattern is theoretical, not measured: it uses a crystal structure in Alexandria, relaxed with GGA-PBE and a wavelength of 1.5418 Å.
Kinematic intensities with the Lorentz-polarization factor, no thermal factor.

Principal peaks in the range 2θ from 10° to 90°, by angle:
| Position (°2θ) | Rel. int. |
| --- | --- |
| 13.7 | 93 |
| 17.0 | 43 |
| 18.6 | 34 |
| 25.3 | 66 |
| 27.8 | 100 |
| 35.1 | 36 |
| 37.2 | 49 |
| 40.2 | 32 |

Structure:
abc: 7.262 7.262 7.262
angles: 132.28 88.32 110.89
Fractional positions:
Li 0.500 0.000 0.000
Li 0.500 0.500 0.500
Dy 0.121 0.371 0.750
Dy 0.879 0.629 0.250
B 0.101 0.002 0.783
B 0.101 0.318 0.099
B 0.127 0.297 0.330
B 0.127 0.797 0.830
B 0.139 0.973 0.166
B 0.262 0.173 0.089
B 0.278 0.629 0.649
B 0.281 0.682 0.283
B 0.281 0.998 0.599
B 0.307 0.973 0.334
B 0.416 0.827 0.589
B 0.467 0.297 0.670
B 0.467 0.797 0.170
B 0.479 0.629 0.851
B 0.521 0.371 0.149
B 0.533 0.203 0.830
B 0.533 0.703 0.330
B 0.584 0.173 0.411
B 0.693 0.027 0.666
B 0.719 0.002 0.401
B 0.719 0.318 0.717
B 0.722 0.371 0.351
B 0.738 0.827 0.911
B 0.861 0.027 0.834
B 0.873 0.203 0.170
B 0.873 0.703 0.670
B 0.899 0.682 0.901
B 0.899 0.998 0.217

=====

Diffraction record for La2Pr2Nd7. The PXRD pattern is theoretical, not measured: it uses a crystal structure in Alexandria, relaxed with GGA-PBE and a wavelength of 1.5418 Å.
Kinematic intensities with the Lorentz-polarization factor, no thermal factor.

Principal peaks in the range 2θ from 10° to 90°, by angle:
| Position (°2θ) | Rel. int. |
| --- | --- |
| 24.7 | 17 |
| 29.8 | 23 |
| 30.3 | 36 |
| 30.6 | 100 |
| 32.8 | 53 |
| 43.6 | 13 |
| 48.5 | 12 |
| 54.0 | 11 |

Structure:
abc: 8.324 8.324 6.243
angles: 105.71 105.71 90.39
Fractional positions:
La 0.217 0.783 0.000
La 0.783 0.217 0.000
Pr 0.234 0.234 0.091
Pr 0.766 0.766 0.909
Nd 0.000 0.000 0.500
Nd 0.055 0.592 0.330
Nd 0.408 0.945 0.670
Nd 0.415 0.415 0.692
Nd 0.585 0.585 0.308
Nd 0.592 0.055 0.330
Nd 0.945 0.408 0.670

=====

Diffraction record for TbNd3Hg3. The PXRD pattern is theoretical, not measured: it uses a crystal structure in Alexandria, relaxed with GGA-PBE and a wavelength of 1.5418 Å.
Kinematic intensities with the Lorentz-polarization factor, no thermal factor.

Principal peaks in the range 2θ from 10° to 90°, by angle:
| Position (°2θ) | Rel. int. |
| --- | --- |
| 11.8 | 12 |
| 32.9 | 26 |
| 34.0 | 100 |
| 34.6 | 21 |
| 48.5 | 13 |
| 49.1 | 9 |
| 59.4 | 14 |
| 61.6 | 14 |

Structure:
abc: 7.513 7.513 7.427
angles: 90.00 90.00 92.84
Fractional positions:
Tb 0.209 0.791 0.000
Tb 0.791 0.209 0.000
Nd 0.255 0.255 0.500
Nd 0.277 0.723 0.500
Nd 0.310 0.310 0.000
Nd 0.690 0.690 0.000
Nd 0.723 0.277 0.500
Nd 0.745 0.745 0.500
Hg 0.000 0.000 0.275
Hg 0.000 0.000 0.725
Hg 0.000 0.500 0.240
Hg 0.000 0.500 0.760
Hg 0.500 0.000 0.240
Hg 0.500 0.000 0.760

=====

Diffraction record for Zr2MnTl2Te6. The PXRD pattern is theoretical, not measured: it uses a crystal structure in Alexandria, relaxed with GGA-PBE and a wavelength of 1.5418 Å.
Kinematic intensities with the Lorentz-polarization factor, no thermal factor.

Principal peaks in the range 2θ from 10° to 90°, by angle:
| Position (°2θ) | Rel. int. |
| --- | --- |
| 28.7 | 51 |
| 28.8 | 100 |
| 30.7 | 14 |
| 38.3 | 35 |
| 38.6 | 18 |
| 43.7 | 17 |
| 43.8 | 42 |
| 53.1 | 18 |

Structure:
abc: 7.174 7.174 8.631
angles: 98.17 98.17 120.22
Fractional positions:
Zr 0.169 0.831 0.000
Zr 0.831 0.169 0.000
Mn 0.500 0.500 0.000
Tl 0.331 0.669 0.500
Tl 0.669 0.331 0.500
Te 0.100 0.427 0.796
Te 0.239 0.239 0.201
Te 0.427 0.100 0.796
Te 0.573 0.900 0.204
Te 0.761 0.761 0.799
Te 0.900 0.573 0.204

=====

Diffraction record for NbPdPtRh. The PXRD pattern is theoretical, not measured: it uses a crystal structure in Alexandria, relaxed with GGA-PBE and a wavelength of 1.5418 Å.
Kinematic intensities with the Lorentz-polarization factor, no thermal factor.

Principal peaks in the range 2θ from 10° to 90°, by angle:
| Position (°2θ) | Rel. int. |
| --- | --- |
| 39.4 | 100 |
| 45.6 | 33 |
| 46.3 | 16 |
| 66.4 | 11 |
| 67.0 | 21 |
| 80.0 | 25 |
| 81.1 | 12 |
| 84.8 | 11 |

Structure:
abc: 4.827 4.827 4.827
angles: 131.27 131.27 71.39
Fractional positions:
Nb 0.000 0.000 0.000
Pd 0.500 0.500 0.000
Pt 0.250 0.750 0.500
Rh 0.750 0.250 0.500

=====

Diffraction record for Nd3InOs. The PXRD pattern is theoretical, not measured: it uses a crystal structure in Alexandria, relaxed with GGA-PBE and a wavelength of 1.5418 Å.
Kinematic intensities with the Lorentz-polarization factor, no thermal factor.

Principal peaks in the range 2θ from 10° to 90°, by angle:
| Position (°2θ) | Rel. int. |
| --- | --- |
| 10.7 | 30 |
| 30.4 | 48 |
| 31.5 | 44 |
| 33.7 | 100 |
| 34.2 | 61 |
| 37.3 | 41 |
| 38.8 | 40 |
| 55.4 | 31 |

Structure:
abc: 9.642 8.913 6.043
angles: 77.68 64.56 37.76
Fractional positions:
Nd 0.196 0.585 0.415
Nd 0.201 0.201 0.799
Nd 0.415 0.804 0.196
Nd 0.585 0.196 0.804
Nd 0.799 0.799 0.201
Nd 0.804 0.415 0.585
In 0.205 0.795 0.795
In 0.795 0.205 0.205
Os 0.250 0.250 0.250
Os 0.750 0.750 0.750

=====

Diffraction record for Na2NpAgBr8. The PXRD pattern is theoretical, not measured: it uses a crystal structure in Alexandria, relaxed with GGA-PBE and a wavelength of 1.5418 Å.
Kinematic intensities with the Lorentz-polarization factor, no thermal factor.

Principal peaks in the range 2θ from 10° to 90°, by angle:
| Position (°2θ) | Rel. int. |
| --- | --- |
| 12.9 | 48 |
| 13.4 | 41 |
| 17.5 | 46 |
| 19.7 | 26 |
| 26.2 | 100 |
| 30.7 | 37 |
| 34.8 | 40 |
| 44.2 | 38 |

Structure:
abc: 6.645 9.183 6.912
angles: 90.00 96.75 90.00
Fractional positions:
Na 0.000 0.229 0.000
Na 0.000 0.771 0.000
Np 0.500 0.500 0.500
Ag 0.500 0.000 0.500
Br 0.236 0.500 0.166
Br 0.241 0.000 0.195
Br 0.282 0.290 0.650
Br 0.282 0.710 0.650
Br 0.718 0.290 0.350
Br 0.718 0.710 0.350
Br 0.759 0.000 0.805
Br 0.764 0.500 0.834

=====

Diffraction record for Ce3PuTc. The PXRD pattern is theoretical, not measured: it uses a crystal structure in Alexandria, relaxed with GGA-PBE and a wavelength of 1.5418 Å.
Kinematic intensities with the Lorentz-polarization factor, no thermal factor.

Principal peaks in the range 2θ from 10° to 90°, by angle:
| Position (°2θ) | Rel. int. |
| --- | --- |
| 13.8 | 18 |
| 32.0 | 13 |
| 33.2 | 100 |
| 35.4 | 20 |
| 43.9 | 13 |
| 45.6 | 21 |
| 49.7 | 21 |
| 69.8 | 12 |

Structure:
abc: 7.604 7.604 8.083
angles: 112.93 112.93 30.31
Fractional positions:
Ce 0.066 0.066 0.323
Ce 0.166 0.166 0.008
Ce 0.394 0.394 0.343
Ce 0.606 0.606 0.657
Ce 0.834 0.834 0.992
Ce 0.934 0.934 0.677
Pu 0.420 0.420 0.892
Pu 0.580 0.580 0.108
Tc 0.256 0.256 0.618
Tc 0.744 0.744 0.382

=====

Diffraction record for Pm6InHg. The PXRD pattern is theoretical, not measured: it uses a crystal structure in Alexandria, relaxed with GGA-PBE and a wavelength of 1.5418 Å.
Kinematic intensities with the Lorentz-polarization factor, no thermal factor.

Principal peaks in the range 2θ from 10° to 90°, by angle:
| Position (°2θ) | Rel. int. |
| --- | --- |
| 31.4 | 100 |
| 36.4 | 34 |
| 36.5 | 17 |
| 52.5 | 36 |
| 62.4 | 28 |
| 62.5 | 14 |
| 65.6 | 12 |
| 85.9 | 12 |

Structure:
abc: 4.938 4.938 9.846
angles: 90.00 90.00 90.00
Fractional positions:
Pm 0.000 0.000 0.000
Pm 0.000 0.000 0.500
Pm 0.000 0.500 0.249
Pm 0.000 0.500 0.751
Pm 0.500 0.000 0.249
Pm 0.500 0.000 0.751
In 0.500 0.500 0.500
Hg 0.500 0.500 0.000

=====

Diffraction record for Sm3B7Ir. The PXRD pattern is theoretical, not measured: it uses a crystal structure in Alexandria, relaxed with GGA-PBE and a wavelength of 1.5418 Å.
Kinematic intensities with the Lorentz-polarization factor, no thermal factor.

Principal peaks in the range 2θ from 10° to 90°, by angle:
| Position (°2θ) | Rel. int. |
| --- | --- |
| 25.7 | 100 |
| 29.0 | 66 |
| 30.2 | 69 |
| 33.3 | 35 |
| 37.7 | 43 |
| 38.4 | 82 |
| 38.9 | 64 |
| 41.6 | 29 |

Structure:
abc: 8.254 8.254 9.555
angles: 90.00 90.00 155.14
Fractional positions:
Sm 0.106 0.894 0.562
Sm 0.106 0.894 0.938
Sm 0.246 0.754 0.250
Sm 0.754 0.246 0.750
Sm 0.894 0.106 0.062
Sm 0.894 0.106 0.438
B 0.273 0.727 0.533
B 0.273 0.727 0.967
B 0.367 0.633 0.652
B 0.367 0.633 0.848
B 0.462 0.538 0.250
B 0.477 0.523 0.598
B 0.477 0.523 0.902
B 0.523 0.477 0.098
B 0.523 0.477 0.402
B 0.538 0.462 0.750
B 0.633 0.367 0.152
B 0.633 0.367 0.348
B 0.727 0.273 0.033
B 0.727 0.273 0.467
Ir 0.056 0.944 0.250
Ir 0.944 0.056 0.750

=====

Diffraction record for La4Nd8Er. The PXRD pattern is theoretical, not measured: it uses a crystal structure in Alexandria, relaxed with GGA-PBE and a wavelength of 1.5418 Å.
Kinematic intensities with the Lorentz-polarization factor, no thermal factor.

Principal peaks in the range 2θ from 10° to 90°, by angle:
| Position (°2θ) | Rel. int. |
| --- | --- |
| 22.5 | 28 |
| 27.1 | 20 |
| 30.1 | 100 |
| 37.9 | 44 |
| 53.4 | 20 |
| 55.9 | 17 |
| 58.6 | 12 |
| 62.5 | 12 |

Structure:
abc: 7.920 7.920 7.920
angles: 97.33 97.33 97.33
Fractional positions:
La 0.000 0.000 0.000
La 0.000 0.500 0.500
La 0.500 0.000 0.500
La 0.500 0.500 0.000
Nd 0.164 0.164 0.668
Nd 0.164 0.668 0.164
Nd 0.239 0.239 0.239
Nd 0.332 0.836 0.836
Nd 0.668 0.164 0.164
Nd 0.761 0.761 0.761
Nd 0.836 0.332 0.836
Nd 0.836 0.836 0.332
Er 0.500 0.500 0.500

=====

What did the fifth record say?
Diffraction record for Zr2MnTl2Te6. The PXRD pattern is theoretical, not measured: it uses a crystal structure in Alexandria, relaxed with GGA-PBE and a wavelength of 1.5418 Å.
Kinematic intensities with the Lorentz-polarization factor, no thermal factor.

Principal peaks in the range 2θ from 10° to 90°, by angle:
| Position (°2θ) | Rel. int. |
| --- | --- |
| 28.7 | 51 |
| 28.8 | 100 |
| 30.7 | 14 |
| 38.3 | 35 |
| 38.6 | 18 |
| 43.7 | 17 |
| 43.8 | 42 |
| 53.1 | 18 |

Structure:
abc: 7.174 7.174 8.631
angles: 98.17 98.17 120.22
Fractional positions:
Zr 0.169 0.831 0.000
Zr 0.831 0.169 0.000
Mn 0.500 0.500 0.000
Tl 0.331 0.669 0.500
Tl 0.669 0.331 0.500
Te 0.100 0.427 0.796
Te 0.239 0.239 0.201
Te 0.427 0.100 0.796
Te 0.573 0.900 0.204
Te 0.761 0.761 0.799
Te 0.900 0.573 0.204